Computed powder diffractogram
Compound: Zn5GaAg
Radiation: Cu Kα
Structure: a DFT-relaxed cell (PBE, Alexandria)
Kinematic intensities with the Lorentz-polarization factor, no thermal factor.

Main lines, sorted by position (10 to 90 degrees two-theta):
d/Å  2θ (°)  I_rel  (hkl)
2.779  32.21  55  3 1 0
2.616  34.28  93  2 0 2
2.505  35.85  68  4 0 0
2.240  40.25  76  2 2 0
2.227  40.50  59  4 0 -4
2.183  41.35  67  2 2 -2
2.143  42.18  100  0 2 2
2.096  43.15  80  5 1 -2
2.060  43.96  59  1 1 -4
1.454  64.03  45  4 2 2

Structural model:
```
data_Zn5GaAg
_chemical_formula_sum 'Zn20 Ga4 Ag4'
_symmetry_space_group_name_H-M 'C 1 2/c 1'
_symmetry_Int_Tables_number 15
_symmetry_space_group_name_Hall '-C 2yc'
_cell_length_a 11.5413
_cell_length_b 5.0098
_cell_length_c 9.5285
_cell_angle_alpha 90.00
_cell_angle_beta 119.75
_cell_angle_gamma 90.00
loop_
_atom_site_label
_atom_site_type_symbol
_atom_site_fract_x
_atom_site_fract_y
_atom_site_fract_z
Zn1 Zn 0.0000 0.2410 0.2500
Zn2 Zn 0.1512 0.4922 0.1263
Zn3 Zn 0.2429 0.0040 0.5555
Ga1 Ga 0.0000 0.0000 0.0000
Ag1 Ag 0.0000 0.2638 0.7500
```